No. 1
Na8B13C3: computed X-ray powder pattern (Cu Kα), based on a cell relaxed with GGA-PBE.
No peak broadening, texture or thermal motion is included.

Cell and atoms:
Lattice parameters (Å, degrees): 5.8884 5.8884 8.6053 90.00 90.00 120.00
Sites, in units of the cell vectors:
Na 0.0000 0.0000 0.2488
Na 0.0000 0.0000 0.7512
Na 0.5003 0.0007 0.2521
Na 0.5003 0.0007 0.7479
Na 0.5003 0.4997 0.2521
Na 0.5003 0.4997 0.7479
Na 0.9993 0.4997 0.2521
Na 0.9993 0.4997 0.7479
B 0.1590 0.3179 0.5000
B 0.1590 0.8410 0.5000
B 0.1662 0.3324 0.0000
B 0.1662 0.8338 0.0000
B 0.3329 0.1664 0.0000
B 0.3333 0.6667 0.0000
B 0.3333 0.6667 0.5000
B 0.6667 0.3333 0.0000
B 0.6667 0.3333 0.5000
B 0.6676 0.8338 0.0000
B 0.6821 0.8410 0.5000
B 0.8336 0.1664 0.0000
B 0.8336 0.6671 0.0000
C 0.3317 0.1659 0.5000
C 0.8341 0.1659 0.5000
C 0.8341 0.6683 0.5000

Principal peaks in the range 10 to 90 degrees two-theta, most intense first:
41.15°, intensity 1000
42.00°, intensity 242
35.20°, intensity 193
63.16°, intensity 177
78.77°, intensity 172
76.15°, intensity 124
78.20°, intensity 114
55.92°, intensity 104
89.32°, intensity 19
74.42°, intensity 19

***

No. 2
TmTiAlTc: computed X-ray powder pattern (Cu Kα), based on a cell relaxed with GGA-PBE.
No peak broadening, texture or thermal motion is included.

Cell and atoms:
Lattice parameters (Å, degrees): 4.6735 4.6735 4.6735 60.00 60.00 60.00
Sites, in units of the cell vectors:
Tm 0.0000 0.0000 0.0000
Ti 0.5000 0.5000 0.5000
Al 0.7500 0.7500 0.7500
Tc 0.2500 0.2500 0.2500

Principal peaks in the range 10 to 90 degrees two-theta, most intense first:
38.53°, intensity 1000
23.31°, intensity 408
69.70°, intensity 338
45.52°, intensity 217
55.62°, intensity 169
82.57°, intensity 106
61.12°, intensity 92
26.98°, intensity 82
87.27°, intensity 73
74.61°, intensity 69

***

No. 3
Rb2SrAg2I7: computed X-ray powder pattern (Cu Kα), based on a cell relaxed with GGA-PBE.
No peak broadening, texture or thermal motion is included.

Cell and atoms:
Lattice parameters (Å, degrees): 5.8068 5.8068 15.3948 100.87 100.87 89.99
Sites, in units of the cell vectors:
Rb 0.1775 0.1775 0.3561
Rb 0.8225 0.8225 0.6439
Sr 0.0000 0.0000 0.0000
Ag 0.3997 0.3997 0.7982
Ag 0.6003 0.6003 0.2018
I 0.0810 0.5806 0.1632
I 0.3027 0.3027 0.6046
I 0.4194 0.9190 0.8368
I 0.5000 0.5000 0.0000
I 0.5806 0.0810 0.1632
I 0.6973 0.6973 0.3954
I 0.9190 0.4194 0.8368

Principal peaks in the range 10 to 90 degrees two-theta, most intense first:
30.80°, intensity 1000
28.25°, intensity 844
44.11°, intensity 365
43.61°, intensity 344
15.55°, intensity 283
53.21°, intensity 283
30.12°, intensity 242
54.33°, intensity 220
48.34°, intensity 205
22.47°, intensity 195

***

No. 4
PmH4Rh2: computed X-ray powder pattern (Cu Kα), based on a cell relaxed with GGA-PBE.
No peak broadening, texture or thermal motion is included.

Cell and atoms:
Lattice parameters (Å, degrees): 4.5568 4.5568 7.9729 90.00 90.00 109.21
Sites, in units of the cell vectors:
Pm 0.0000 0.0000 0.2500
Pm 0.0000 0.0000 0.7500
H 0.0000 0.5000 0.3660
H 0.0000 0.5000 0.6340
H 0.0847 0.3038 0.0000
H 0.3038 0.0847 0.5000
H 0.5000 0.0000 0.1340
H 0.5000 0.0000 0.8660
H 0.6962 0.9153 0.5000
H 0.9153 0.6962 0.0000
Rh 0.3078 0.6912 0.5000
Rh 0.3088 0.6922 0.0000
Rh 0.6912 0.3078 0.0000
Rh 0.6922 0.3088 0.5000

Principal peaks in the range 10 to 90 degrees two-theta, most intense first:
30.57°, intensity 1000
32.96°, intensity 766
40.22°, intensity 538
48.05°, intensity 533
33.97°, intensity 479
62.33°, intensity 292
69.87°, intensity 228
45.51°, intensity 216
57.98°, intensity 209
58.68°, intensity 158

***

No. 5
Ni5Ge4: computed X-ray powder pattern (Cu Kα), based on a cell relaxed with GGA-PBE.
No peak broadening, texture or thermal motion is included.

Cell and atoms:
Lattice parameters (Å, degrees): 6.6851 6.6851 6.6851 93.03 93.03 153.42
Sites, in units of the cell vectors:
Ni 0.0000 0.0000 0.0000
Ni 0.0857 0.3718 0.4574
Ni 0.3718 0.9143 0.2861
Ni 0.6282 0.0857 0.7139
Ni 0.9143 0.6282 0.5426
Ge 0.1294 0.7843 0.9136
Ge 0.2157 0.1294 0.3451
Ge 0.7843 0.8706 0.6549
Ge 0.8706 0.2157 0.0864

Principal peaks in the range 10 to 90 degrees two-theta, most intense first:
46.24°, intensity 1000
30.69°, intensity 623
50.58°, intensity 320
44.01°, intensity 220
82.45°, intensity 173
62.16°, intensity 125
60.21°, intensity 117
36.49°, intensity 92
69.22°, intensity 82
41.64°, intensity 80

***

No. 6
LaMgZn: computed X-ray powder pattern (Cu Kα), based on a cell relaxed with GGA-PBE.
No peak broadening, texture or thermal motion is included.

Cell and atoms:
Lattice parameters (Å, degrees): 5.5989 5.5989 5.5989 145.55 129.68 62.41
Sites, in units of the cell vectors:
La 0.0000 0.0000 0.0000
Mg 0.6731 0.6731 0.0000
Zn 0.3351 0.3351 0.0000

Principal peaks in the range 10 to 90 degrees two-theta, most intense first:
32.92°, intensity 1000
33.81°, intensity 930
39.17°, intensity 618
20.84°, intensity 529
55.57°, intensity 437
18.53°, intensity 351
37.80°, intensity 342
66.52°, intensity 250
28.49°, intensity 246
68.10°, intensity 231